# YEr2Tm2Lu2Ni2Te2
Calculated XRD peak list, Cu Kα (weighted mean of Kα1 and Kα2). Input: a cell relaxed with GGA-PBE.

abc: 3.8137 15.3899 9.4427
angles: 90.00 90.00 90.00
Space group Imm2 (No. 44)
Asymmetric unit:
1 Y 0.0000 0.0000 0.0000 x2
2 Er 0.0000 0.3147 0.6209 x4
3 Tm 0.0000 0.3526 0.2691 x4
4 Lu 0.0000 0.1330 0.4179 x4
5 Ni 0.0000 0.2390 0.9279 x4
6 Te 0.0000 0.0000 0.6624 x2
7 Te 0.0000 0.5000 0.7668 x2

Largest 10 diffraction maxima, in order of rising 2θ, 2θ = 10–90°:
2θ/deg, I_rel, hkl
25.18, 26, 1 0 1
30.69, 43, 1 1 2
33.40, 82, 0 3 3
34.45, 100, 1 4 1
34.95, 83, 0 6 0
37.03, 18, 1 0 3
38.90, 20, 1 2 3
47.69, 29, 2 0 0
59.47, 31, 2 3 3
66.20, 18, 1 10 1

# TaHgPt2
Calculated XRD peak list, Cu Kα (weighted mean of Kα1 and Kα2). Input: a cell relaxed with GGA-PBE.

abc: 6.4917 6.4917 6.4917
angles: 90.00 90.00 90.00
Space group F-43m (No. 216)
Asymmetric unit:
1 Ta 0.0000 0.0000 0.0000 x4
2 Hg 0.2500 0.2500 0.2500 x4
3 Pt 0.0000 0.0000 0.5000 x4
4 Pt 0.2500 0.2500 0.7500 x4

Largest 4 diffraction maxima, in order of rising 2θ, 2θ = 10–90°:
2θ/deg, I_rel, hkl
39.25, 100, 2 2 0
56.72, 17, 4 0 0
71.15, 36, 4 2 2
84.41, 12, 4 4 0

# DyErCd
Calculated XRD peak list, Cu Kα (weighted mean of Kα1 and Kα2). Input: a cell relaxed with GGA-PBE.

abc: 7.1774 7.1774 7.1774
angles: 90.00 90.00 90.00
Space group F-43m (No. 216)
Asymmetric unit:
1 Dy 0.0000 0.0000 0.0000 x4
2 Er 0.2500 0.2500 0.7500 x4
3 Cd 0.0000 0.0000 0.5000 x4

Largest 10 diffraction maxima, in order of rising 2θ, 2θ = 10–90°:
2θ/deg, I_rel, hkl
21.44, 36, 1 1 1
24.81, 8, 2 0 0
35.37, 100, 2 2 0
41.74, 19, 3 1 1
50.89, 18, 4 0 0
55.83, 8, 3 3 1
63.50, 36, 4 2 2
67.85, 6, 5 1 1
74.83, 11, 4 4 0
85.58, 16, 6 2 0

# K4ZnBi2
Calculated XRD peak list, Cu Kα (weighted mean of Kα1 and Kα2). Input: a cell relaxed with GGA-PBE.

abc: 6.2474 10.6334 17.5938
angles: 90.00 90.00 90.00
Space group C222_1 (No. 20)
Asymmetric unit:
1 K 0.0000 0.0029 0.2500 x4
2 K 0.0595 0.3343 0.8950 x8
3 K 0.0644 0.0000 0.0000 x4
4 Zn 0.0000 0.3365 0.2500 x4
5 Bi 0.0661 0.3299 0.1048 x8

Largest 10 diffraction maxima, in order of rising 2θ, 2θ = 10–90°:
2θ/deg, I_rel, hkl
16.46, 25, 1 1 0
17.22, 77, 1 1 1
17.42, 37, 0 2 1
22.41, 27, 1 1 3
26.16, 33, 1 1 4
28.58, 26, 2 0 0
28.98, 100, 1 3 0
34.84, 22, 1 1 6
39.60, 36, 0 2 7
42.55, 23, 1 3 6

# Cs2Dy4Cu4S9
Calculated XRD peak list, Cu Kα (weighted mean of Kα1 and Kα2). Input: a cell relaxed with GGA-PBE.

abc: 14.0522 3.9791 16.1104
angles: 90.00 108.90 90.00
Space group C2/m (No. 12)
Asymmetric unit:
1 Cs 0.0286 0.0000 0.2709 x4
2 Dy 0.1533 0.5000 0.5539 x4
3 Dy 0.2314 0.0000 0.1031 x4
4 Cu 0.0699 0.5000 0.9613 x4
5 Cu 0.2476 0.0000 0.7284 x4
6 S 0.0000 0.0000 0.5000 x2
7 S 0.1079 0.5000 0.1217 x4
8 S 0.1414 0.0000 0.9269 x4
9 S 0.1623 0.5000 0.7238 x4
10 S 0.2087 0.5000 0.4028 x4

Largest 10 diffraction maxima, in order of rising 2θ, 2θ = 10–90°:
2θ/deg, I_rel, hkl
13.32, 56, 2 0 0
22.83, 70, 2 0 -4
25.53, 100, 4 0 -2
27.11, 81, 1 1 2
27.93, 74, 1 1 -3
29.92, 63, 3 1 -2
30.19, 50, 3 1 0
32.02, 79, 3 1 1
45.60, 67, 0 2 0
46.09, 46, 3 1 -7

# CdC2S2N2
Calculated XRD peak list, Cu Kα (weighted mean of Kα1 and Kα2). Input: a cell relaxed with GGA-PBE.

abc: 5.8891 13.1264 7.5161
angles: 90.00 114.27 90.00
Space group P2_1/c (No. 14)
Asymmetric unit:
1 Cd 0.1747 0.1306 0.1167 x4
2 C 0.2708 0.5124 0.2739 x4
3 C 0.3787 0.7482 0.4829 x4
4 S 0.0044 0.0362 0.7527 x4
5 S 0.3578 0.2029 0.5019 x4
6 N 0.1876 0.7146 0.4708 x4
7 N 0.4603 0.5464 0.2838 x4

Largest 10 diffraction maxima, in order of rising 2θ, 2θ = 10–90°:
2θ/deg, I_rel, hkl
14.58, 87, 0 1 1
17.62, 63, 1 1 -1
17.85, 100, 1 1 0
18.72, 80, 0 2 1
26.11, 95, 1 3 -1
26.90, 56, 0 1 2
29.41, 55, 0 2 2
33.36, 74, 2 2 -1
36.85, 54, 1 4 -2
38.46, 48, 1 2 -3

# MgAlCu2
Calculated XRD peak list, Cu Kα (weighted mean of Kα1 and Kα2). Input: a cell relaxed with GGA-PBE.

abc: 6.0852 6.0852 6.0852
angles: 90.00 90.00 90.00
Space group Pm-3m (No. 221)
Asymmetric unit:
1 Mg 0.0000 0.0000 0.0000 x1
2 Mg 0.0000 0.0000 0.5000 x3
3 Al 0.0000 0.5000 0.5000 x3
4 Al 0.5000 0.5000 0.5000 x1
5 Cu 0.2614 0.2614 0.2614 x8

Largest 10 diffraction maxima, in order of rising 2θ, 2θ = 10–90°:
2θ/deg, I_rel, hkl
14.56, 2, 1 0 0
29.35, 27, 2 0 0
41.99, 100, 2 2 0
44.67, 1, 3 0 0
52.06, 6, 2 2 2
54.36, 2, 3 2 0
60.89, 15, 4 0 0
69.02, 7, 4 2 0
76.73, 28, 4 2 2
86.04, 2, 5 2 0